Record 1
This entry pairs a crystal structure of Pu4IrPd2 with its computed powder X-ray diffraction pattern. Radiation: λ = 1.5418 Å (Cu Kα). Structure: a GGA-PBE-relaxed structure.
Kinematic intensities with the Lorentz-polarization factor, no thermal factor.

Most intense lines, 2θ from 10° to 90°, sorted by position:
2θ (°)  Rel. int.  hkl
32.5  100.0  1 3 0
32.7  77.9  3 1 0
32.9  26.4  4 0 -1
33.2  69.5  2 0 -3
33.3  25.9  4 0 -3
38.7  35.2  1 3 1
38.8  51.7  3 3 -1
39.0  31.8  4 2 -1
39.1  36.1  1 1 -3
39.3  30.3  4 2 -3

```
data_Pu4IrPd2
_space_group_name_H-M_alt 'C 1 2 1'
_space_group_IT_number 5
_space_group_name_Hall 'C 2y'
_cell_length_a 12.0811
_cell_length_b 8.7324
_cell_length_c 8.5177
_cell_angle_alpha 90.00
_cell_angle_beta 134.20
_cell_angle_gamma 90.00
loop_
_atom_site_label
_atom_site_type_symbol
_atom_site_fract_x
_atom_site_fract_y
_atom_site_fract_z
_atom_site_occupancy
Pu1 Pu 0.0766 0.0000 0.2581 1
Pu2 Pu 0.0807 0.3709 0.3975 1
Pu3 Pu 0.1728 0.7512 0.7401 1
Pu4 Pu 0.1740 0.6192 0.1041 1
Ir1 Ir 0.1278 0.6845 0.3765 1
Pd1 Pd 0.0000 0.0707 0.5000 1
Pd2 Pd 0.0000 0.3022 0.0000 1
Pd3 Pd 0.2479 0.4347 0.8821 1
```


Record 2
This entry pairs a crystal structure of Ca3Hg with its computed powder X-ray diffraction pattern. Radiation: λ = 1.5418 Å (Cu Kα). Structure: a GGA-PBE-relaxed structure.
Kinematic intensities with the Lorentz-polarization factor, no thermal factor.

Most intense lines, 2θ from 10° to 90°, sorted by position:
2θ (°)  Rel. int.  hkl
13.4  90.8  0 2 0
17.8  44.1  0 0 2
22.3  40.1  0 2 2
23.6  71.5  1 1 1
30.5  100.0  1 3 1
32.5  42.4  0 4 2
34.9  64.0  1 1 3
40.0  31.8  1 3 3
41.1  25.6  1 5 1
54.9  22.6  1 3 5

```
data_Ca3Hg
_space_group_name_H-M_alt 'C m c m'
_space_group_IT_number 63
_space_group_name_Hall '-C 2c 2'
_cell_length_a 4.2712
_cell_length_b 13.2290
_cell_length_c 9.9738
_cell_angle_alpha 90.00
_cell_angle_beta 90.00
_cell_angle_gamma 90.00
loop_
_atom_site_label
_atom_site_type_symbol
_atom_site_fract_x
_atom_site_fract_y
_atom_site_fract_z
_atom_site_occupancy
Ca1 Ca 0.0000 0.0653 0.2500 1
Ca2 Ca 0.0000 0.3583 0.0590 1
Hg1 Hg 0.0000 0.2529 0.7500 1
```


Record 3
This entry pairs a crystal structure of Hg2GeMo2 with its computed powder X-ray diffraction pattern. Radiation: λ = 1.5418 Å (Cu Kα). Structure: a GGA-PBE-relaxed structure.
Kinematic intensities with the Lorentz-polarization factor, no thermal factor.

Most intense lines, 2θ from 10° to 90°, sorted by position:
2θ (°)  Rel. int.  hkl
14.6  25.0  1 1 0
23.2  28.9  2 1 0
29.5  42.9  2 2 0
33.1  40.3  3 1 0
37.9  39.5  3 2 0
38.3  34.9  2 0 1
39.8  100.0  2 1 1
43.6  58.1  4 1 0
55.0  29.0  4 1 1
72.7  30.8  5 3 1

```
data_Hg2GeMo2
_space_group_name_H-M_alt 'P 4/m b m'
_space_group_IT_number 127
_space_group_name_Hall '-P 4 2ab'
_cell_length_a 8.5566
_cell_length_b 8.5566
_cell_length_c 2.8135
_cell_angle_alpha 90.00
_cell_angle_beta 90.00
_cell_angle_gamma 90.00
loop_
_atom_site_label
_atom_site_type_symbol
_atom_site_fract_x
_atom_site_fract_y
_atom_site_fract_z
_atom_site_occupancy
Hg1 Hg 0.1918 0.3082 0.0000 1
Ge1 Ge 0.0000 0.0000 0.0000 1
Mo1 Mo 0.0998 0.5998 0.5000 1
```


Record 4
This entry pairs a crystal structure of CaTl2Cl4 with its computed powder X-ray diffraction pattern. Radiation: λ = 1.5418 Å (Cu Kα). Structure: a GGA-PBE-relaxed structure.
Kinematic intensities with the Lorentz-polarization factor, no thermal factor.

Most intense lines, 2θ from 10° to 90°, sorted by position:
2θ (°)  Rel. int.  hkl
13.6  93.6  2 0 -1
20.6  60.9  2 0 -2
22.2  41.8  2 0 1
23.9  78.9  1 1 -1
29.1  32.4  4 0 0
30.8  100.0  3 1 0
31.8  46.7  3 1 -2
34.6  34.8  0 0 3
34.9  49.0  1 1 2
57.1  28.1  0 2 3

```
data_CaTl2Cl4
_space_group_name_H-M_alt 'C 1 2/m 1'
_space_group_IT_number 12
_space_group_name_Hall '-C 2y'
_cell_length_a 13.8563
_cell_length_b 4.1292
_cell_length_c 8.7758
_cell_angle_alpha 90.00
_cell_angle_beta 117.65
_cell_angle_gamma 90.00
loop_
_atom_site_label
_atom_site_type_symbol
_atom_site_fract_x
_atom_site_fract_y
_atom_site_fract_z
_atom_site_occupancy
Ca1 Ca 0.0000 0.0000 0.0000 1
Tl1 Tl 0.1420 0.5000 0.6868 1
Cl1 Cl 0.0384 0.0000 0.3335 1
Cl2 Cl 0.1488 0.5000 0.0640 1
```


Record 5
This entry pairs a crystal structure of Sm3Dy5Bi8 with its computed powder X-ray diffraction pattern. Radiation: λ = 1.5418 Å (Cu Kα). Structure: a GGA-PBE-relaxed structure.
Kinematic intensities with the Lorentz-polarization factor, no thermal factor.

Most intense lines, 2θ from 10° to 90°, sorted by position:
2θ (°)  Rel. int.  hkl
24.2  3.4  2 0 2
28.0  100.0  0 2 4
40.0  78.3  2 2 0
47.3  2.0  0 4 2
49.5  28.5  4 0 4
57.9  13.5  0 4 8
63.6  0.9  4 2 2
65.5  37.4  2 4 4
72.7  27.8  6 0 0
86.3  9.2  4 4 0

```
data_Sm3Dy5Bi8
_space_group_name_H-M_alt 'R -3 m'
_space_group_IT_number 166
_space_group_name_Hall '-R 3 2"'
_cell_length_a 9.0171
_cell_length_b 9.0171
_cell_length_c 22.0798
_cell_angle_alpha 90.00
_cell_angle_beta 90.00
_cell_angle_gamma 120.00
loop_
_atom_site_label
_atom_site_type_symbol
_atom_site_fract_x
_atom_site_fract_y
_atom_site_fract_z
_atom_site_occupancy
Sm1 Sm 0.0000 0.5000 0.0000 1
Dy1 Dy 0.0000 0.0000 0.0000 1
Dy2 Dy 0.0000 0.0000 0.5000 1
Dy3 Dy 0.0000 0.5000 0.5000 1
Bi1 Bi 0.0000 0.0000 0.2481 1
Bi2 Bi 0.0025 0.5012 0.7512 1
```


Record 6
This entry pairs a crystal structure of SrTl2Se2 with its computed powder X-ray diffraction pattern. Radiation: λ = 1.5418 Å (Cu Kα). Structure: a GGA-PBE-relaxed structure.
Kinematic intensities with the Lorentz-polarization factor, no thermal factor.

Most intense lines, 2θ from 10° to 90°, sorted by position:
2θ (°)  Rel. int.  hkl
23.8  20.1  0 1 2
26.1  11.2  1 0 4
27.7  100.0  0 1 5
31.6  16.6  1 0 7
38.7  28.1  1 0 10
40.4  41.1  1 1 0
49.6  9.4  1 1 9
49.7  26.2  2 0 5
57.2  9.0  0 2 10
65.9  19.9  1 2 5

```
data_SrTl2Se2
_space_group_name_H-M_alt 'R -3 m'
_space_group_IT_number 166
_space_group_name_Hall '-R 3 2"'
_cell_length_a 4.4608
_cell_length_b 4.4608
_cell_length_c 29.1714
_cell_angle_alpha 90.00
_cell_angle_beta 90.00
_cell_angle_gamma 120.00
loop_
_atom_site_label
_atom_site_type_symbol
_atom_site_fract_x
_atom_site_fract_y
_atom_site_fract_z
_atom_site_occupancy
Sr1 Sr 0.0000 0.0000 0.0000 1
Tl1 Tl 0.0000 0.0000 0.2135 1
Se1 Se 0.0000 0.0000 0.3950 1
```


Record 7
This entry pairs a crystal structure of Nd3Tl2I2 with its computed powder X-ray diffraction pattern. Radiation: λ = 1.5418 Å (Cu Kα). Structure: a GGA-PBE-relaxed structure.
Kinematic intensities with the Lorentz-polarization factor, no thermal factor.

Most intense lines, 2θ from 10° to 90°, sorted by position:
2θ (°)  Rel. int.  hkl
16.3  12.7  0 1 0
21.0  18.3  1 0 0
28.9  51.2  0 1 -2
30.6  100.0  1 2 1
31.4  15.2  0 2 1
33.8  76.7  1 1 3
39.3  30.7  2 1 0
41.1  34.9  1 2 -2
42.8  26.7  0 2 4
49.5  15.9  2 0 2

```
data_Nd3Tl2I2
_space_group_name_H-M_alt 'P -1'
_space_group_IT_number 2
_space_group_name_Hall '-P 1'
_cell_length_a 4.5864
_cell_length_b 6.1467
_cell_length_c 9.7568
_cell_angle_alpha 73.39
_cell_angle_beta 89.91
_cell_angle_gamma 68.10
loop_
_atom_site_label
_atom_site_type_symbol
_atom_site_fract_x
_atom_site_fract_y
_atom_site_fract_z
_atom_site_occupancy
Nd1 Nd 0.0000 0.0000 0.0000 1
Nd2 Nd 0.2126 0.5769 0.7181 1
Tl1 Tl 0.3339 0.3315 0.0783 1
I1 I 0.1008 0.7957 0.3579 1
```


Record 8
This entry pairs a crystal structure of LaDy7Hg4 with its computed powder X-ray diffraction pattern. Radiation: λ = 1.5418 Å (Cu Kα). Structure: a GGA-PBE-relaxed structure.
Kinematic intensities with the Lorentz-polarization factor, no thermal factor.

Most intense lines, 2θ from 10° to 90°, sorted by position:
2θ (°)  Rel. int.  hkl
26.5  23.2  1 -1 2
32.3  75.8  -2 1 1
32.9  62.1  1 -2 2
33.0  100.0  0 2 1
33.2  90.2  2 1 0
34.8  46.9  1 1 -3
34.9  20.2  1 0 -3
37.2  59.3  1 0 3
46.0  20.3  1 3 -2
48.8  18.3  3 -1 2

```
data_LaDy7Hg4
_space_group_name_H-M_alt 'P -1'
_space_group_IT_number 2
_space_group_name_Hall '-P 1'
_cell_length_a 6.4125
_cell_length_b 6.6570
_cell_length_c 8.4746
_cell_angle_alpha 105.76
_cell_angle_beta 92.85
_cell_angle_gamma 96.48
loop_
_atom_site_label
_atom_site_type_symbol
_atom_site_fract_x
_atom_site_fract_y
_atom_site_fract_z
_atom_site_occupancy
La1 La 0.0000 0.0000 0.0000 1
Dy1 Dy 0.1223 0.7767 0.4377 1
Dy2 Dy 0.2685 0.5088 0.0710 1
Dy3 Dy 0.3664 0.2659 0.3850 1
Dy4 Dy 0.5000 0.0000 0.0000 1
Hg1 Hg 0.1925 0.6140 0.7407 1
Hg2 Hg 0.3502 0.1673 0.7183 1
```


Record 9
This entry pairs a crystal structure of Mg7Si4 with its computed powder X-ray diffraction pattern. Radiation: λ = 1.5418 Å (Cu Kα). Structure: a GGA-PBE-relaxed structure.
Kinematic intensities with the Lorentz-polarization factor, no thermal factor.

Most intense lines, 2θ from 10° to 90°, sorted by position:
2θ (°)  Rel. int.  hkl
34.5  80.1  0 1 4
35.2  94.9  0 2 2
35.5  63.2  2 0 -3
36.2  58.4  1 2 -3
36.4  76.4  2 0 2
37.0  61.2  1 0 -5
37.5  58.5  2 1 1
37.8  100.0  1 -2 3
40.7  46.1  2 0 3
41.3  56.1  1 0 5

```
data_Mg7Si4
_space_group_name_H-M_alt 'P 1'
_space_group_IT_number 1
_space_group_name_Hall 'P 1'
_cell_length_a 5.7723
_cell_length_b 6.1379
_cell_length_c 12.8734
_cell_angle_alpha 99.98
_cell_angle_beta 97.86
_cell_angle_gamma 90.74
loop_
_atom_site_label
_atom_site_type_symbol
_atom_site_fract_x
_atom_site_fract_y
_atom_site_fract_z
_atom_site_occupancy
Mg1 Mg 0.0000 0.0000 0.0000 1
Mg2 Mg 0.0050 0.1726 0.7958 1
Mg3 Mg 0.0470 0.6048 0.3785 1
Mg4 Mg 0.3075 0.0471 0.2350 1
Mg5 Mg 0.3081 0.7274 0.6638 1
Mg6 Mg 0.3148 0.5085 0.1615 1
Mg7 Mg 0.3202 0.6430 0.8896 1
Mg8 Mg 0.4611 0.2564 0.6959 1
Mg9 Mg 0.7960 0.7665 0.1604 1
Mg10 Mg 0.8016 0.8926 0.5766 1
Mg11 Mg 0.8152 0.6609 0.7938 1
Mg12 Mg 0.8244 0.2923 0.1832 1
Mg13 Mg 0.8653 0.3987 0.5801 1
Mg14 Mg 0.9229 0.0917 0.3805 1
Si1 Si 0.3205 0.9518 0.4990 1
Si2 Si 0.3262 0.3421 0.4939 1
Si3 Si 0.4964 0.0215 0.0399 1
Si4 Si 0.5531 0.0150 0.8532 1
Si5 Si 0.5608 0.7904 0.3620 1
Si6 Si 0.5763 0.4021 0.3635 1
Si7 Si 0.5794 0.3818 0.9929 1
Si8 Si 0.9809 0.4724 0.9873 1
```


Record 10
This entry pairs a crystal structure of Cs3PbAu2I9 with its computed powder X-ray diffraction pattern. Radiation: λ = 1.5418 Å (Cu Kα). Structure: a GGA-PBE-relaxed structure.
Kinematic intensities with the Lorentz-polarization factor, no thermal factor.

Most intense lines, 2θ from 10° to 90°, sorted by position:
2θ (°)  Rel. int.  hkl
14.8  40.1  1 0 1
20.9  40.1  1 1 0
25.7  28.3  0 2 1
29.8  100.0  2 0 2
36.7  15.0  3 0 0
42.5  35.9  0 2 4
42.7  37.5  2 2 0
52.9  19.5  0 4 2
69.9  15.0  2 2 6
70.2  16.6  4 2 2

```
data_Cs3PbAu2I9
_space_group_name_H-M_alt 'P -3 m 1'
_space_group_IT_number 164
_space_group_name_Hall '-P 3 2"'
_cell_length_a 8.4731
_cell_length_b 8.4731
_cell_length_c 10.4512
_cell_angle_alpha 90.00
_cell_angle_beta 90.00
_cell_angle_gamma 120.00
loop_
_atom_site_label
_atom_site_type_symbol
_atom_site_fract_x
_atom_site_fract_y
_atom_site_fract_z
_atom_site_occupancy
Cs1 Cs 0.0000 0.0000 0.0000 1
Cs2 Cs 0.3333 0.6667 0.6664 1
Pb1 Pb 0.0000 0.0000 0.5000 1
Au1 Au 0.3333 0.6667 0.1513 1
I1 I 0.0000 0.5000 0.0000 1
I2 I 0.1730 0.3460 0.3204 1
```


Record 11
This entry pairs a crystal structure of As2P with its computed powder X-ray diffraction pattern. Radiation: λ = 1.5418 Å (Cu Kα). Structure: a GGA-PBE-relaxed structure.
Kinematic intensities with the Lorentz-polarization factor, no thermal factor.

Most intense lines, 2θ from 10° to 90°, sorted by position:
2θ (°)  Rel. int.  hkl
15.4  52.5  2 0 -1
21.0  48.1  2 0 -2
27.6  28.3  2 0 1
31.7  67.4  1 1 1
32.0  50.2  4 0 -1
32.9  100.0  1 1 -2
37.6  22.3  0 0 3
48.2  38.9  5 1 -3
49.2  32.4  3 1 -4
54.3  27.2  5 1 0

```
data_As2P
_space_group_name_H-M_alt 'C 1 m 1'
_space_group_IT_number 8
_space_group_name_Hall 'C -2y'
_cell_length_a 11.5991
_cell_length_b 3.5554
_cell_length_c 8.6773
_cell_angle_alpha 90.00
_cell_angle_beta 124.20
_cell_angle_gamma 90.00
loop_
_atom_site_label
_atom_site_type_symbol
_atom_site_fract_x
_atom_site_fract_y
_atom_site_fract_z
_atom_site_occupancy
As1 As 0.0000 0.0000 0.0000 1
As2 As 0.0837 0.5000 0.2406 1
As3 As 0.1912 0.0000 0.9447 1
As4 As 0.3687 0.0000 0.5820 1
P1 P 0.1146 0.5000 0.7229 1
P2 P 0.3281 0.5000 0.3694 1
```


Record 12
This entry pairs a crystal structure of PIr5 with its computed powder X-ray diffraction pattern. Radiation: λ = 1.5418 Å (Cu Kα). Structure: a GGA-PBE-relaxed structure.
Kinematic intensities with the Lorentz-polarization factor, no thermal factor.

Most intense lines, 2θ from 10° to 90°, sorted by position:
2θ (°)  Rel. int.  hkl
35.2  20.8  1 1 -1
38.2  61.9  2 0 2
39.0  22.1  2 0 -3
39.1  31.4  4 0 -1
41.3  100.0  1 1 -2
41.7  28.2  4 0 -2
45.0  70.5  3 1 0
51.7  16.6  2 0 -4
65.9  21.2  5 1 -3
68.5  18.8  1 1 4

```
data_PIr5
_space_group_name_H-M_alt 'C 1 m 1'
_space_group_IT_number 8
_space_group_name_Hall 'C -2y'
_cell_length_a 9.2074
_cell_length_b 2.7830
_cell_length_c 7.0948
_cell_angle_alpha 90.00
_cell_angle_beta 107.67
_cell_angle_gamma 90.00
loop_
_atom_site_label
_atom_site_type_symbol
_atom_site_fract_x
_atom_site_fract_y
_atom_site_fract_z
_atom_site_occupancy
P1 P 0.0000 0.0000 0.0000 1
Ir1 Ir 0.0679 0.5000 0.7634 1
Ir2 Ir 0.1272 0.5000 0.2725 1
Ir3 Ir 0.2649 0.0000 0.6198 1
Ir4 Ir 0.3073 0.0000 0.0534 1
Ir5 Ir 0.4332 0.5000 0.4307 1
```


Record 13
This entry pairs a crystal structure of LaThSe3 with its computed powder X-ray diffraction pattern. Radiation: λ = 1.5418 Å (Cu Kα). Structure: a GGA-PBE-relaxed structure.
Kinematic intensities with the Lorentz-polarization factor, no thermal factor.

Most intense lines, 2θ from 10° to 90°, sorted by position:
2θ (°)  Rel. int.  hkl
24.5  100.0  1 1 1
31.4  48.2  2 0 4
32.9  50.7  2 1 2
34.6  49.3  0 1 5
35.1  26.4  2 1 3
36.5  35.1  1 1 5
40.7  32.7  3 1 1
41.6  28.0  2 1 5
42.8  38.6  0 2 0
43.7  26.4  3 1 3

```
data_LaThSe3
_space_group_name_H-M_alt 'P n m a'
_space_group_IT_number 62
_space_group_name_Hall '-P 2ac 2n'
_cell_length_a 7.9214
_cell_length_b 4.2234
_cell_length_c 16.4293
_cell_angle_alpha 90.00
_cell_angle_beta 90.00
_cell_angle_gamma 90.00
loop_
_atom_site_label
_atom_site_type_symbol
_atom_site_fract_x
_atom_site_fract_y
_atom_site_fract_z
_atom_site_occupancy
La1 La 0.1103 0.2500 0.2044 1
Th1 Th 0.2451 0.7500 0.4571 1
Se1 Se 0.0068 0.2500 0.3987 1
Se2 Se 0.1281 0.7500 0.0686 1
Se3 Se 0.1684 0.2500 0.7805 1
```